No. 1
Theoretical powder XRD pattern
Compound: HfNF4
Radiation: copper Kα
Structure: a structure optimized by DFT (PBE)
Peak positions follow from Bragg's law for the DFT cell and can differ from measured ones.

Crystal structure
a = 6.6067 Å, b = 7.9062 Å, c = 8.8731 Å
α = 105.12°, β = 95.23°, γ = 110.11°
Positions (direct):
Hf: 0.2189 0.2026 0.1256
Hf: 0.2377 0.7009 0.0949
Hf: 0.7623 0.2991 0.9051
Hf: 0.7811 0.7974 0.8744
N: 0.2432 0.0881 0.6011
N: 0.2618 0.6074 0.6152
N: 0.7382 0.3926 0.3848
N: 0.7568 0.9119 0.3989
F: 0.0546 0.0474 0.8843
F: 0.0630 0.7375 0.8993
F: 0.0868 0.4289 0.8973
F: 0.2586 0.2654 0.3490
F: 0.2812 0.7984 0.3190
F: 0.3346 0.4962 0.1567
F: 0.3502 0.9956 0.1266
F: 0.4907 0.2659 0.0100
F: 0.5093 0.7341 0.9900
F: 0.6498 0.0044 0.8734
F: 0.6654 0.5038 0.8433
F: 0.7188 0.2016 0.6810
F: 0.7414 0.7346 0.6510
F: 0.9132 0.5711 0.1027
F: 0.9370 0.2625 0.1007
F: 0.9454 0.9526 0.1157

Most intense lines, 10° ≤ 2θ ≤ 90°, by angle:
index  d_spacing  Rel. int.
0 0 1  8.394  100
1 0 -1  5.469  33
1 0 1  4.514  10
1 0 -2  3.829  19
1 -2 1  3.709  17
0 2 0  3.526  11
1 0 2  3.171  12
1 -2 2  3.131  9
2 0 0  3.039  12
1 2 -1  2.792  10


No. 2
Theoretical powder XRD pattern
Compound: HfScN2F
Radiation: copper Kα
Structure: a structure optimized by DFT (PBE)
Peak positions follow from Bragg's law for the DFT cell and can differ from measured ones.

Crystal structure
a = 4.2237 Å, b = 4.2237 Å, c = 3.9223 Å
α = 90.00°, β = 90.00°, γ = 90.00°
Positions (direct):
Hf: 0.0000 0.0000 0.0000
Sc: 0.5000 0.5000 0.5000
N: 0.0000 0.5000 0.0000
N: 0.5000 0.0000 0.0000
F: 0.0000 0.0000 0.5000

Most intense lines, 10° ≤ 2θ ≤ 90°, by angle:
index  d_spacing  Rel. int.
1 0 0  4.224  74
0 0 1  3.922  26
1 1 0  2.987  62
1 0 1  2.874  100
2 0 0  2.112  36
0 0 2  1.961  14
2 1 0  1.889  17
2 1 1  1.702  43
1 1 2  1.639  22
2 0 2  1.437  20